The following is a calculated powder XRD pattern of SrTcMo2. It was derived from a DFT-relaxed cell (GGA-PBE, Alexandria), using CuKα.

abc: 2.9970 4.1818 6.9375
angles: 90.00 102.47 90.00
Element x y z (fractional)
Sr 0.0000 0.0000 0.0000
Tc 0.5727 0.5000 0.3306
Mo 0.4134 0.5000 0.6584
Mo 0.9922 0.0000 0.4884

Most intense lines, 2θ = 10–90°, sorted by position:
Position (°2θ)	I (rel.)
13.07	67
25.02	19
34.06	78
35.97	65
37.51	100
43.27	38
45.66	19
50.37	21
57.49	32
67.87	20